# Dy2Ho2BI3Br2
Simulated powder X-ray diffraction pattern, Cu Kα X-rays. Input: DFT lattice parameters and positions (GGA-PBE).
Peak positions follow from Bragg's law for the DFT cell and can differ from measured ones.

Crystal structure
a b c (Å): 9.5127 9.5127 8.5305
angles (deg): 101.63 101.63 24.25
Element x y z (fractional)
Dy (0.1372, 0.1372, 0.0709)
Dy (0.8628, 0.8628, 0.9291)
Ho (0.4992, 0.4992, 0.1954)
Ho (0.5008, 0.5008, 0.8046)
B (0.0000, 0.0000, 0.0000)
I (0.0000, 0.0000, 0.5000)
I (0.3266, 0.3266, 0.1810)
I (0.6734, 0.6734, 0.8190)
Br (0.3422, 0.3422, 0.6805)
Br (0.6578, 0.6578, 0.3195)

Principal peaks in the range 15 to 90 degrees two-theta, by intensity:
Position (°2θ)	I_rel
30.7	100
29.4	45
33.3	36
42.7	28
43.4	26
45.4	19
29.9	18
27.6	18
55.0	15
42.4	14



# TlPd2Pb3
Simulated powder X-ray diffraction pattern, Cu Kα X-rays. Input: DFT lattice parameters and positions (GGA-PBE).
Peak positions follow from Bragg's law for the DFT cell and can differ from measured ones.

Crystal structure
a b c (Å): 6.9341 5.7076 5.7304
angles (deg): 74.64 52.53 52.83
Element x y z (fractional)
Tl (0.0000, 0.0000, 0.0000)
Pd (0.0856, 0.0856, 0.4144)
Pd (0.5856, 0.5856, 0.9144)
Pb (0.1730, 0.4981, 0.5019)
Pb (0.4981, 0.1730, 0.8270)
Pb (0.6736, 0.6736, 0.3264)

Principal peaks in the range 15 to 90 degrees two-theta, by intensity:
Position (°2θ)	I_rel
32.6	100
32.7	99
40.2	52
55.4	46
35.6	40
41.1	29
41.2	28
30.4	28
62.1	20
65.1	19



# Gd2Tc2S2O5
Simulated powder X-ray diffraction pattern, Cu Kα X-rays. Input: DFT lattice parameters and positions (GGA-PBE).
Peak positions follow from Bragg's law for the DFT cell and can differ from measured ones.

Crystal structure
a b c (Å): 11.1568 11.1568 11.1568
angles (deg): 159.58 159.58 29.04
Element x y z (fractional)
Gd (0.1634, 0.1634, 0.0000)
Gd (0.8366, 0.8366, 0.0000)
Tc (0.4164, 0.4164, 0.0000)
Tc (0.5836, 0.5836, 0.0000)
S (0.2967, 0.2967, 0.0000)
S (0.7033, 0.7033, 0.0000)
O (0.0989, 0.5989, 0.5000)
O (0.4011, 0.9011, 0.5000)
O (0.5000, 0.5000, 0.0000)
O (0.5989, 0.0989, 0.5000)
O (0.9011, 0.4011, 0.5000)

Principal peaks in the range 15 to 90 degrees two-theta, by intensity:
Position (°2θ)	I_rel
32.0	100
25.7	93
36.9	81
16.4	78
45.9	56
30.6	38
60.3	38
44.1	37
53.3	26
65.6	22



# W3I7
Simulated powder X-ray diffraction pattern, Cu Kα X-rays. Input: DFT lattice parameters and positions (GGA-PBE).
Peak positions follow from Bragg's law for the DFT cell and can differ from measured ones.

Crystal structure
a b c (Å): 11.2752 11.2752 12.5690
angles (deg): 100.35 100.35 88.92
Element x y z (fractional)
W (0.0201, 0.5726, 0.3796)
W (0.0546, 0.6449, 0.5993)
W (0.1609, 0.4447, 0.5123)
W (0.3551, 0.9454, 0.9007)
W (0.4274, 0.9799, 0.1204)
W (0.4447, 0.1609, 0.0123)
W (0.5553, 0.8391, 0.9877)
W (0.5726, 0.0201, 0.8796)
W (0.6449, 0.0546, 0.0993)
W (0.8391, 0.5553, 0.4877)
W (0.9454, 0.3551, 0.4007)
W (0.9799, 0.4274, 0.6204)
I (0.0000, 0.5000, 0.0000)
I (0.0473, 0.6894, 0.1983)
I (0.0877, 0.2110, 0.5345)
I (0.1248, 0.8752, 0.7500)
I (0.1343, 0.3678, 0.2821)
I (0.2041, 0.5179, 0.7439)
I (0.2110, 0.0877, 0.0345)
I (0.2465, 0.6715, 0.4881)
I (0.3106, 0.9527, 0.3017)
I (0.3285, 0.7535, 0.0119)
I (0.3622, 0.3987, 0.0360)
I (0.3678, 0.1343, 0.7821)
I (0.3987, 0.3622, 0.5360)
I (0.4821, 0.7959, 0.7561)
I (0.5000, 0.0000, 0.5000)
I (0.5179, 0.2041, 0.2439)
I (0.6013, 0.6378, 0.4640)
I (0.6322, 0.8657, 0.2179)
I (0.6378, 0.6013, 0.9640)
I (0.6715, 0.2465, 0.9881)
I (0.6894, 0.0473, 0.6983)
I (0.7535, 0.3285, 0.5119)
I (0.7890, 0.9123, 0.9655)
I (0.7959, 0.4821, 0.2561)
I (0.8657, 0.6322, 0.7179)
I (0.8752, 0.1248, 0.2500)
I (0.9123, 0.7890, 0.4655)
I (0.9527, 0.3106, 0.8017)

Principal peaks in the range 15 to 90 degrees two-theta, by intensity:
Position (°2θ)	I_rel
41.0	100
42.7	99
43.7	91
16.0	89
26.4	86
37.6	82
24.9	80
39.7	76
26.9	76
29.4	62



# NiCl2
Simulated powder X-ray diffraction pattern, Cu Kα X-rays. Input: DFT lattice parameters and positions (GGA-PBE).
Peak positions follow from Bragg's law for the DFT cell and can differ from measured ones.

Crystal structure
a b c (Å): 3.4658 3.4658 17.1482
angles (deg): 90.00 90.00 120.00
Element x y z (fractional)
Ni (0.0000, 0.0000, 0.0000)
Ni (0.3333, 0.6667, 0.6667)
Ni (0.6667, 0.3333, 0.3333)
Cl (0.0000, 0.0000, 0.2572)
Cl (0.0000, 0.0000, 0.7428)
Cl (0.3333, 0.6667, 0.4095)
Cl (0.3333, 0.6667, 0.9239)
Cl (0.6667, 0.3333, 0.0761)
Cl (0.6667, 0.3333, 0.5905)

Principal peaks in the range 15 to 90 degrees two-theta, by intensity:
Position (°2θ)	I_rel
36.5	100
15.5	91
30.2	36
52.8	32
52.5	30
47.9	18
55.4	17
65.9	15
89.3	13
88.7	12



# DyTm2Se3
Simulated powder X-ray diffraction pattern, Cu Kα X-rays. Input: DFT lattice parameters and positions (GGA-PBE).
Peak positions follow from Bragg's law for the DFT cell and can differ from measured ones.

Crystal structure
a b c (Å): 4.0145 4.0145 9.9212
angles (deg): 90.00 90.00 120.00
Element x y z (fractional)
Dy (0.0000, 0.0000, 0.0000)
Tm (0.3333, 0.6667, 0.6666)
Tm (0.6667, 0.3333, 0.3334)
Se (0.0000, 0.0000, 0.5000)
Se (0.3333, 0.6667, 0.1714)
Se (0.6667, 0.3333, 0.8286)

Principal peaks in the range 15 to 90 degrees two-theta, by intensity:
Position (°2θ)	I_rel
31.4	100
44.9	37
45.2	37
56.1	19
27.2	17
74.3	17
74.7	17
83.2	13
65.6	12
55.6	7



# NiW4AuC2
Simulated powder X-ray diffraction pattern, Cu Kα X-rays. Input: DFT lattice parameters and positions (GGA-PBE).
Peak positions follow from Bragg's law for the DFT cell and can differ from measured ones.

Crystal structure
a b c (Å): 3.0713 3.0713 13.1581
angles (deg): 90.00 90.00 120.00
Element x y z (fractional)
Ni (0.0000, 0.0000, 0.0000)
W (0.0000, 0.0000, 0.3242)
W (0.0000, 0.0000, 0.6758)
W (0.6667, 0.3333, 0.1491)
W (0.6667, 0.3333, 0.8509)
Au (0.6667, 0.3333, 0.5000)
C (0.3333, 0.6667, 0.2379)
C (0.3333, 0.6667, 0.7621)

Principal peaks in the range 15 to 90 degrees two-theta, by intensity:
Position (°2θ)	I_rel
39.6	100
33.7	26
60.3	22
75.6	17
41.2	16
74.6	16
54.2	13
74.0	10
36.4	8
66.9	8



# ZnNi9
Simulated powder X-ray diffraction pattern, Cu Kα X-rays. Input: DFT lattice parameters and positions (GGA-PBE).
Peak positions follow from Bragg's law for the DFT cell and can differ from measured ones.

Crystal structure
a b c (Å): 2.4907 3.4724 38.1817
angles (deg): 90.00 90.00 90.00
Element x y z (fractional)
Zn (0.2500, 0.2500, 0.1902)
Zn (0.7500, 0.7500, 0.8098)
Ni (0.2500, 0.2500, 0.2571)
Ni (0.2500, 0.2500, 0.3223)
Ni (0.2500, 0.2500, 0.3870)
Ni (0.2500, 0.2500, 0.4517)
Ni (0.2500, 0.2500, 0.5161)
Ni (0.2500, 0.2500, 0.5805)
Ni (0.2500, 0.2500, 0.6453)
Ni (0.2500, 0.2500, 0.7107)
Ni (0.2500, 0.2500, 0.7771)
Ni (0.7500, 0.7500, 0.2229)
Ni (0.7500, 0.7500, 0.2893)
Ni (0.7500, 0.7500, 0.3547)
Ni (0.7500, 0.7500, 0.4195)
Ni (0.7500, 0.7500, 0.4839)
Ni (0.7500, 0.7500, 0.5483)
Ni (0.7500, 0.7500, 0.6130)
Ni (0.7500, 0.7500, 0.6777)
Ni (0.7500, 0.7500, 0.7429)

Principal peaks in the range 15 to 90 degrees two-theta, by intensity:
Position (°2θ)	I_rel
44.8	100
44.1	61
46.2	39
51.3	38
52.7	30
53.2	25
76.7	21
78.2	14
76.5	9
77.5	6